Theoretical PXRD pattern
Compound: Ba2LiTbIrO6
Radiation: copper Kα
Structure: a structure optimized by DFT (PBE)
Intensities are scaled so that the largest is 1000.

Atomic structure:
Unit cell a=6.3645 b=6.3645 c=6.3645 alpha=55.11 beta=55.11 gamma=55.11
Fractional coordinates of all 11 atoms:
Ba1 0.0000 0.0000 0.0000
Ba2 0.4710 0.4710 0.4710
Li1 0.8409 0.8409 0.8409
Tb1 0.6889 0.6889 0.6889
Ir1 0.2053 0.2053 0.2053
O1 0.4383 0.4383 0.9639
O2 0.4383 0.9639 0.4383
O3 0.4549 0.9622 0.9622
O4 0.9622 0.4549 0.9622
O5 0.9622 0.9622 0.4549
O6 0.9639 0.4383 0.4383

Most intense lines, 2θ = 10–90°, low angle first:
2θ (°)	I/Imax
20.60	259
28.20	844
30.36	1000
32.83	112
41.91	455
45.68	301
48.54	125
52.62	303
53.94	203
63.16	175
70.56	132
87.70	110


Theoretical PXRD pattern
Compound: Ba2LiTbIrO6
Radiation: copper Kα
Structure: a structure optimized by DFT (PBE)
Intensities are scaled so that the largest is 1000.

Atomic structure:
Unit cell a=6.1418 b=6.1418 c=6.1418 alpha=122.46 beta=121.08 gamma=86.96
Fractional coordinates of all 11 atoms:
Ba1 0.2062 0.2062 0.0000
Ba2 0.7938 0.7938 0.0000
Li1 0.5000 0.5000 0.0000
Tb1 0.5000 0.0000 0.5000
Ir1 0.0000 0.5000 0.5000
O1 0.2325 0.7325 0.5000
O2 0.2500 0.2698 0.5198
O3 0.2500 0.7302 0.9802
O4 0.7500 0.2698 0.0198
O5 0.7500 0.7302 0.4802
O6 0.7675 0.2675 0.5000

Most intense lines, 2θ = 10–90°, low angle first:
2θ (°)	I/Imax
29.12	1000
29.58	286
30.23	273
40.48	116
42.80	311
50.93	73
51.35	72
52.19	202
53.02	193
60.38	135
62.84	83
70.07	86


Theoretical PXRD pattern
Compound: Ba6MgIr6O18
Radiation: copper Kα
Structure: a structure optimized by DFT (PBE)
Intensities are scaled so that the largest is 1000.

Atomic structure:
Unit cell a=5.7161 b=5.8586 c=15.0052 alpha=91.28 beta=91.88 gamma=118.07
Fractional coordinates of all 31 atoms:
Ba1 0.0000 0.0000 0.0000
Ba2 0.0270 0.0655 0.2961
Ba3 0.3530 0.7069 0.1473
Ba4 0.3958 0.8060 0.6313
Ba5 0.7212 0.4453 0.4768
Ba6 0.7580 0.5259 0.7534
Mg1 0.5307 0.1636 0.8857
Ir1 0.0394 0.1165 0.7301
Ir2 0.0576 0.1152 0.5379
Ir3 0.3381 0.6824 0.8938
Ir4 0.3754 0.7579 0.3894
Ir5 0.6909 0.3990 0.2402
Ir6 0.7050 0.3728 0.0517
O1 0.0006 0.5774 0.3344
O2 0.0646 0.4774 0.9858
O3 0.1646 0.9351 0.8412
O4 0.2024 0.4718 0.7845
O5 0.2545 0.4810 0.4855
O6 0.2930 0.9831 0.4748
O7 0.3378 0.2499 0.6407
O8 0.4071 0.2480 0.1384
O9 0.4624 0.5310 0.3057
O10 0.4916 0.0340 0.2946
O11 0.5224 0.9849 0.9971
O12 0.5614 0.4939 0.9346
O13 0.6845 0.9992 0.8049
O14 0.7537 0.9340 0.4409
O15 0.8407 0.6805 0.1448
O16 0.8563 0.2514 0.1541
O17 0.8952 0.2558 0.6293
O18 0.9005 0.8208 0.6249

Most intense lines, 2θ = 10–90°, low angle first:
2θ (°)	I/Imax
18.85	214
28.84	142
29.00	310
29.79	207
30.05	1000
30.40	270
30.56	487
31.32	647
41.62	121
43.62	124
54.67	121
55.57	176


Theoretical PXRD pattern
Compound: Ba6MgIr6O18
Radiation: copper Kα
Structure: a structure optimized by DFT (PBE)
Intensities are scaled so that the largest is 1000.

Atomic structure:
Unit cell a=5.7627 b=5.7627 c=15.1419 alpha=91.59 beta=91.59 gamma=119.36
Fractional coordinates of all 31 atoms:
Ba1 0.0000 0.0000 0.0000
Ba2 0.2882 0.6179 0.6968
Ba3 0.3821 0.7118 0.3032
Ba4 0.6529 0.3189 0.8544
Ba5 0.6811 0.3471 0.1456
Ba6 0.9918 0.0082 0.5000
Mg1 0.3232 0.6768 0.5000
Ir1 0.0412 0.0350 0.2507
Ir2 0.3286 0.6594 0.9074
Ir3 0.3406 0.6714 0.0926
Ir4 0.6317 0.2981 0.5983
Ir5 0.7019 0.3683 0.4017
Ir6 0.9650 0.9588 0.7493
O1 0.0386 0.5140 0.9967
O2 0.1256 0.3189 0.8244
O3 0.1336 0.8249 0.1585
O4 0.1466 0.3221 0.1584
O5 0.1751 0.8664 0.8415
O6 0.2559 0.0652 0.6540
O7 0.4368 0.2333 0.2955
O8 0.4856 0.5144 0.0000
O9 0.4860 0.9614 0.0033
O10 0.5134 0.4866 0.5000
O11 0.5153 0.0422 0.4789
O12 0.6779 0.8534 0.8416
O13 0.6811 0.8744 0.1756
O14 0.7537 0.0453 0.6542
O15 0.7667 0.5632 0.7045
O16 0.9348 0.7441 0.3460
O17 0.9547 0.2463 0.3458
O18 0.9578 0.4847 0.5211

Most intense lines, 2θ = 10–90°, low angle first:
2θ (°)	I/Imax
28.89	338
29.68	319
30.28	253
30.78	446
31.05	1000
33.88	140
34.72	146
35.38	162
42.28	171
43.56	161
54.90	244
64.73	138


Theoretical PXRD pattern
Compound: Ba6MgIr6O18
Radiation: copper Kα
Structure: a structure optimized by DFT (PBE)
Intensities are scaled so that the largest is 1000.

Atomic structure:
Unit cell a=5.6672 b=6.0016 c=15.0827 alpha=83.38 beta=88.82 gamma=62.24
Fractional coordinates of all 31 atoms:
Ba1 0.0458 0.4203 0.2421
Ba2 0.2583 0.9810 0.6111
Ba3 0.3206 0.8539 0.9078
Ba4 0.6794 0.1461 0.0922
Ba5 0.7417 0.0190 0.3889
Ba6 0.9542 0.5797 0.7579
Mg1 0.5000 0.5000 0.5000
Ir1 0.0000 0.5000 0.0000
Ir2 0.0000 0.5000 0.5000
Ir3 0.3532 0.7918 0.1462
Ir4 0.4160 0.6872 0.3301
Ir5 0.5840 0.3128 0.6699
Ir6 0.6468 0.2082 0.8538
O1 0.0874 0.8919 0.2473
O2 0.1002 0.6937 0.0830
O3 0.1535 0.1805 0.0948
O4 0.2238 0.5419 0.5956
O5 0.2747 0.4602 0.4047
O6 0.3166 0.8835 0.4343
O7 0.3666 0.3532 0.9473
O8 0.4495 0.1195 0.7608
O9 0.4754 0.5427 0.7734
O10 0.5246 0.4573 0.2266
O11 0.5505 0.8805 0.2392
O12 0.6334 0.6468 0.0527
O13 0.6834 0.1165 0.5657
O14 0.7253 0.5398 0.5953
O15 0.7762 0.4581 0.4044
O16 0.8465 0.8195 0.9052
O17 0.8998 0.3063 0.9170
O18 0.9126 0.1081 0.7527

Most intense lines, 2θ = 10–90°, low angle first:
2θ (°)	I/Imax
17.15	276
27.53	345
28.76	329
29.24	265
29.81	932
30.01	935
30.34	359
30.94	689
31.58	1000
44.30	352
54.93	215
55.08	235


Theoretical PXRD pattern
Compound: Ba6MgIr6O18
Radiation: copper Kα
Structure: a structure optimized by DFT (PBE)
Intensities are scaled so that the largest is 1000.

Atomic structure:
Unit cell a=5.7815 b=5.9662 c=15.1023 alpha=89.65 beta=89.63 gamma=61.43
Fractional coordinates of all 31 atoms:
Ba1 0.0000 0.0000 0.0000
Ba2 0.0345 0.9491 0.3028
Ba3 0.3215 0.3585 0.8254
Ba4 0.3976 0.2248 0.4568
Ba5 0.6238 0.7568 0.6864
Ba6 0.6838 0.6368 0.1560
Mg1 0.9052 0.2054 0.5939
Ir1 0.1315 0.7407 0.5476
Ir2 0.3314 0.3304 0.0584
Ir3 0.3606 0.2882 0.2414
Ir4 0.6624 0.6746 0.9150
Ir5 0.7056 0.6041 0.3960
Ir6 0.9911 0.0228 0.7647
O1 0.0580 0.4837 0.3308
O2 0.1351 0.7267 0.6748
O3 0.1412 0.1987 0.6874
O4 0.1880 0.1662 0.1486
O5 0.2077 0.5934 0.1598
O6 0.3572 0.7943 0.8290
O7 0.3630 0.7808 0.4637
O8 0.4764 0.0387 0.9667
O9 0.4764 0.5557 0.0025
O10 0.5322 0.9329 0.3070
O11 0.5980 0.4051 0.3091
O12 0.6396 0.1523 0.1436
O13 0.6696 0.2066 0.6878
O14 0.8304 0.7911 0.4779
O15 0.8469 0.7994 0.8292
O16 0.8504 0.3099 0.8614
O17 0.8562 0.3023 0.4724
O18 0.9661 0.5601 0.0021

Most intense lines, 2θ = 10–90°, low angle first:
2θ (°)	I/Imax
17.93	322
29.17	364
29.43	759
29.54	336
29.65	385
29.79	560
29.98	571
30.38	319
30.54	274
30.94	1000
34.22	219
34.49	240